Computed XRD peak list of KRb2Br6Cl for Cu Ka, from DFT lattice parameters and positions (GGA-PBE).
Peak positions follow from Bragg's law for the DFT cell and can differ from measured ones.

```
data_KRb2Br6Cl
_chemical_formula_sum 'K2 Rb4 Br12 Cl2'
_cell_length_a 7.893
_cell_length_b 7.893
_cell_length_c 13.470
_cell_angle_alpha 90.00
_cell_angle_beta 90.00
_cell_angle_gamma 90.00
_symmetry_space_group_name_H-M 'I 4/m m m'
_symmetry_Int_Tables_number 139
_symmetry_space_group_name_Hall '-I 4 2'
loop_
_atom_site_label
_atom_site_fract_x
_atom_site_fract_y
_atom_site_fract_z
K1 0.000 0.000 0.000
Rb1 0.000 0.500 0.250
Br1 0.000 0.000 0.229
Br2 0.220 0.220 0.500
Cl1 0.000 0.000 0.500
```

Main lines, by angle (10 to 90 degrees two-theta):
2theta	I_rel	index
26.17	100	2 0 2
26.47	39	0 0 4
32.07	44	2 2 0
42.05	38	2 2 4
46.00	14	4 0 0
46.54	17	2 0 6
53.69	19	4 2 2
53.85	16	4 0 4
64.65	8	2 2 8
67.51	8	4 2 6